# 1
For BaEuAg4, a crystal structure in Alexandria, relaxed with PBE gives the simulated X-ray powder pattern in this record (Cu Kα (λ = 1.5418 Å)).

Most intense lines, 10° ≤ 2θ ≤ 90°, by angle:
- 29.81 deg, rel. 34, (2 2 0)
- 35.10 deg, rel. 100, (3 1 1)
- 36.72 deg, rel. 33, (2 2 2)
- 42.66 deg, rel. 2, (4 0 0)
- 52.90 deg, rel. 14, (4 2 2)
- 56.39 deg, rel. 33, (3 3 3)
- 61.91 deg, rel. 27, (4 4 0)
- 70.21 deg, rel. 6, (6 2 0)
- 73.20 deg, rel. 11, (5 3 3)
- 74.19 deg, rel. 11, (6 2 2)
- 85.75 deg, rel. 7, (6 4 2)
- 88.60 deg, rel. 21, (7 3 1)

Atomic structure:
```
data_BaEuAg4
_chemical_formula_sum 'Ba4 Eu4 Ag16'
_cell_length_a 8.4786
_cell_length_b 8.4786
_cell_length_c 8.4786
_cell_angle_alpha 90.00
_cell_angle_beta 90.00
_cell_angle_gamma 90.00
_space_group_name_H-M_alt 'F -4 3 m'
_space_group_IT_number 216
_space_group_name_Hall 'F -4 2 3'
loop_
_atom_site_label
_atom_site_type_symbol
_atom_site_fract_x
_atom_site_fract_y
_atom_site_fract_z
Ba1 Ba 0.0000 0.0000 0.0000
Eu1 Eu 0.2500 0.2500 0.2500
Ag1 Ag 0.1238 0.1238 0.6238
```



# 2
For BaAg3F12, a crystal structure in Alexandria, relaxed with PBE gives the simulated X-ray powder pattern in this record (Cu Kα (λ = 1.5418 Å)).

Most intense lines, 10° ≤ 2θ ≤ 90°, by angle:
- 14.85 deg, rel. 16, (0 1 2)
- 22.23 deg, rel. 21, (2 0 2)
- 23.85 deg, rel. 100, (1 1 3)
- 28.70 deg, rel. 42, (3 0 0)
- 34.70 deg, rel. 35, (0 0 6)
- 37.65 deg, rel. 19, (2 2 3)
- 43.87 deg, rel. 18, (2 3 2)
- 45.63 deg, rel. 27, (0 3 6)
- 48.01 deg, rel. 19, (1 4 3)
- 48.57 deg, rel. 15, (3 2 4)
- 50.84 deg, rel. 14, (3 3 0)
- 63.02 deg, rel. 15, (3 3 6)

Atomic structure:
```
data_BaAg3F12
_chemical_formula_sum 'Ba6 Ag18 F72'
_cell_length_a 10.7762
_cell_length_b 10.7762
_cell_length_c 15.5102
_cell_angle_alpha 90.00
_cell_angle_beta 90.00
_cell_angle_gamma 120.00
_space_group_name_H-M_alt 'R -3 c'
_space_group_IT_number 167
_space_group_name_Hall '-R 3 2"c'
loop_
_atom_site_label
_atom_site_type_symbol
_atom_site_fract_x
_atom_site_fract_y
_atom_site_fract_z
Ba1 Ba 0.0000 0.0000 0.2500
Ag1 Ag 0.0000 0.3601 0.2500
F1 F 0.0331 0.5112 0.9196
F2 F 0.0796 0.1858 0.5941
```



# 3
For BaAg3F6, a crystal structure in Alexandria, relaxed with PBE gives the simulated X-ray powder pattern in this record (Cu Kα (λ = 1.5418 Å)).

Most intense lines, 10° ≤ 2θ ≤ 90°, by angle:
- 26.44 deg, rel. 100, (0 2 1)
- 27.24 deg, rel. 85, (2 2 0)
- 30.75 deg, rel. 18, (0 4 0)
- 31.26 deg, rel. 37, (2 0 1)
- 43.77 deg, rel. 18, (0 0 2)
- 44.42 deg, rel. 67, (2 4 1)
- 45.81 deg, rel. 14, (4 0 0)
- 52.10 deg, rel. 13, (0 6 1)
- 52.32 deg, rel. 27, (2 2 2)
- 52.56 deg, rel. 15, (2 6 0)
- 53.67 deg, rel. 27, (4 2 1)
- 80.85 deg, rel. 15, (0 8 2)

Atomic structure:
```
data_BaAg3F6
_chemical_formula_sum 'Ba2 Ag6 F12'
_cell_length_a 7.9238
_cell_length_b 11.6312
_cell_length_c 4.1367
_cell_angle_alpha 90.00
_cell_angle_beta 90.00
_cell_angle_gamma 90.00
_space_group_name_H-M_alt 'C m m m'
_space_group_IT_number 65
_space_group_name_Hall '-C 2 2'
loop_
_atom_site_label
_atom_site_type_symbol
_atom_site_fract_x
_atom_site_fract_y
_atom_site_fract_z
Ba1 Ba 0.0000 0.0000 0.0000
Ag1 Ag 0.0000 0.5000 0.0000
Ag2 Ag 0.2500 0.2500 0.5000
F1 F 0.0000 0.1424 0.5000
F2 F 0.2022 0.3760 0.0000
```



# 4
For BaAg4F8, a crystal structure in Alexandria, relaxed with PBE gives the simulated X-ray powder pattern in this record (Cu Kα (λ = 1.5418 Å)).

Most intense lines, 10° ≤ 2θ ≤ 90°, by angle:
- 14.19 deg, rel. 84, (0 0 3)
- 15.17 deg, rel. 32, (1 0 1)
- 17.26 deg, rel. 20, (0 1 2)
- 28.61 deg, rel. 24, (0 0 6)
- 29.44 deg, rel. 28, (0 2 1)
- 30.61 deg, rel. 51, (2 0 2)
- 34.92 deg, rel. 100, (0 2 4)
- 44.93 deg, rel. 17, (0 2 7)
- 48.92 deg, rel. 31, (2 0 8)
- 51.49 deg, rel. 32, (2 2 0)
- 59.96 deg, rel. 18, (2 2 6)
- 63.73 deg, rel. 16, (4 0 4)

Atomic structure:
```
data_BaAg4F8
_chemical_formula_sum 'Ba3 Ag12 F24'
_cell_length_a 7.0994
_cell_length_b 7.0994
_cell_length_c 18.7202
_cell_angle_alpha 90.00
_cell_angle_beta 90.00
_cell_angle_gamma 120.00
_space_group_name_H-M_alt 'R -3 m'
_space_group_IT_number 166
_space_group_name_Hall '-R 3 2"'
loop_
_atom_site_label
_atom_site_type_symbol
_atom_site_fract_x
_atom_site_fract_y
_atom_site_fract_z
Ba1 Ba 0.0000 0.0000 0.0000
Ag1 Ag 0.0000 0.0000 0.5000
Ag2 Ag 0.0000 0.5000 0.5000
F1 F 0.0000 0.0000 0.2151
F2 F 0.0186 0.5093 0.7648
```



# 5
For Ba2AgF8, a crystal structure in Alexandria, relaxed with PBE gives the simulated X-ray powder pattern in this record (Cu Kα (λ = 1.5418 Å)).

Most intense lines, 10° ≤ 2θ ≤ 90°, by angle:
- 24.99 deg, rel. 100, (0 0 1)
- 25.27 deg, rel. 88, (1 3 0)
- 26.70 deg, rel. 66, (1 3 -1)
- 33.42 deg, rel. 18, (2 0 0)
- 37.19 deg, rel. 14, (1 5 -1)
- 37.73 deg, rel. 38, (2 0 -2)
- 38.51 deg, rel. 13, (0 6 0)
- 43.28 deg, rel. 73, (1 3 1)
- 45.96 deg, rel. 35, (3 3 -2)
- 46.46 deg, rel. 45, (0 6 1)
- 51.89 deg, rel. 13, (2 6 0)
- 55.00 deg, rel. 23, (3 3 0)

Atomic structure:
```
data_Ba2AgF8
_chemical_formula_sum 'Ba4 Ag2 F16'
_cell_length_a 7.1686
_cell_length_b 14.0250
_cell_length_c 4.7683
_cell_angle_alpha 90.00
_cell_angle_beta 131.58
_cell_angle_gamma 90.00
_space_group_name_H-M_alt 'C 1 m 1'
_space_group_IT_number 8
_space_group_name_Hall 'C -2y'
loop_
_atom_site_label
_atom_site_type_symbol
_atom_site_fract_x
_atom_site_fract_y
_atom_site_fract_z
Ba1 Ba 0.0000 0.1769 0.0000
Ag1 Ag 0.9996 0.5000 0.9996
F1 F 0.9999 0.2738 0.4999
F2 F 0.1929 0.0000 0.1930
F3 F 0.2417 0.3934 0.2415
F4 F 0.2575 0.1066 0.7576
F5 F 0.3091 0.5000 0.8091
```



# 6
For BaAg7F12, a crystal structure in Alexandria, relaxed with PBE gives the simulated X-ray powder pattern in this record (Cu Kα (λ = 1.5418 Å)).

Most intense lines, 10° ≤ 2θ ≤ 90°, by angle:
- 14.46 deg, rel. 1, (1 1 0)
- 29.15 deg, rel. 100, (2 2 0)
- 32.68 deg, rel. 2, (3 0 1)
- 35.91 deg, rel. 1, (2 2 2)
- 38.89 deg, rel. 2, (3 1 2)
- 41.70 deg, rel. 26, (4 0 0)
- 51.69 deg, rel. 50, (4 2 2)
- 60.44 deg, rel. 14, (4 4 0)
- 62.51 deg, rel. 1, (5 3 0)
- 68.49 deg, rel. 17, (6 2 0)
- 76.12 deg, rel. 4, (4 4 4)
- 83.50 deg, rel. 22, (6 2 4)

Atomic structure:
```
data_BaAg7F12
_chemical_formula_sum 'Ba2 Ag14 F24'
_cell_length_a 8.6640
_cell_length_b 8.6640
_cell_length_c 8.6640
_cell_angle_alpha 90.00
_cell_angle_beta 90.00
_cell_angle_gamma 90.00
_space_group_name_H-M_alt 'I m -3'
_space_group_IT_number 204
_space_group_name_Hall '-I 2 2 3'
loop_
_atom_site_label
_atom_site_type_symbol
_atom_site_fract_x
_atom_site_fract_y
_atom_site_fract_z
Ba1 Ba 0.0000 0.0000 0.0000
Ag1 Ag 0.0000 0.0000 0.5000
Ag2 Ag 0.2500 0.2500 0.2500
F1 F 0.0000 0.2902 0.1706
```